[1]
Pm2CdAu6: simulated powder diffraction line list (a wavelength of 1.5418 Å), based on DFT lattice parameters and positions (PBE).
Peak positions follow from Bragg's law for the DFT cell and can differ from measured ones.

Structure:
```
data_Pm2CdAu6
_space_group_name_H-M_alt 'C m m m'
_space_group_IT_number 65
_space_group_name_Hall '-C 2 2'
_cell_length_a 7.219
_cell_length_b 13.195
_cell_length_c 4.184
_cell_angle_alpha 90.00
_cell_angle_beta 90.00
_cell_angle_gamma 90.00
loop_
_atom_site_label
_atom_site_fract_x
_atom_site_fract_y
_atom_site_fract_z
Pm1 0.000 0.207 0.000
Cd1 0.000 0.000 0.500
Au1 0.196 0.355 0.500
Au2 0.205 0.500 0.000
```

The 10 most intense peaks (2θ = 10–90°), by angle:
index, 2θ (°), I/Imax
2 0 0, 24.66, 25
1 3 1, 32.02, 82
0 4 1, 34.63, 90
2 2 1, 35.55, 100
3 1 0, 38.01, 46
0 6 0, 41.04, 26
2 4 1, 42.98, 58
0 0 2, 43.25, 50
3 1 2, 58.91, 26
5 3 1, 72.51, 36

---

[2]
Pm2Cd3Au6: simulated powder diffraction line list (a wavelength of 1.5418 Å), based on DFT lattice parameters and positions (PBE).
Peak positions follow from Bragg's law for the DFT cell and can differ from measured ones.

Structure:
```
data_Pm2Cd3Au6
_space_group_name_H-M_alt 'C m m m'
_space_group_IT_number 65
_space_group_name_Hall '-C 2 2'
_cell_length_a 9.870
_cell_length_b 13.128
_cell_length_c 3.958
_cell_angle_alpha 90.00
_cell_angle_beta 90.00
_cell_angle_gamma 90.00
loop_
_atom_site_label
_atom_site_fract_x
_atom_site_fract_y
_atom_site_fract_z
Pm1 0.196 0.000 0.000
Cd1 0.000 0.273 0.000
Cd2 0.000 0.500 0.500
Au1 0.000 0.112 0.500
Au2 0.197 0.345 0.500
```

The 10 most intense peaks (2θ = 10–90°), by angle:
index, 2θ (°), I/Imax
0 0 1, 22.47, 49
2 2 1, 32.04, 100
3 3 0, 34.10, 73
0 4 1, 35.54, 91
3 1 1, 36.16, 70
4 0 0, 36.41, 24
3 3 1, 41.23, 57
2 6 0, 45.34, 27
0 0 2, 45.86, 42
3 3 2, 58.36, 32

---

[3]
PmCd4Au4: simulated powder diffraction line list (a wavelength of 1.5418 Å), based on DFT lattice parameters and positions (PBE).
Peak positions follow from Bragg's law for the DFT cell and can differ from measured ones.

Structure:
```
data_PmCd4Au4
_space_group_name_H-M_alt 'P 42/n m c'
_space_group_IT_number 137
_cell_length_a 6.477
_cell_length_b 6.477
_cell_length_c 9.637
_cell_angle_alpha 90.00
_cell_angle_beta 90.00
_cell_angle_gamma 90.00
loop_
_space_group_symop_operation_xyz
'x,y,z'
'-x,-y,-z'
'-y+1/2,x,z+1/2'
'y+1/2,-x,-z+1/2'
'-x+1/2,-y+1/2,z'
'x+1/2,y+1/2,-z'
'y,-x+1/2,z+1/2'
'-y,x+1/2,-z+1/2'
'x+1/2,-y,-z'
'-x+1/2,y,z'
'-y,-x,-z+1/2'
'y,x,z+1/2'
'-x,y+1/2,-z'
'x,-y+1/2,z'
'y+1/2,x+1/2,-z+1/2'
'-y+1/2,-x+1/2,z+1/2'
loop_
_atom_site_label
_atom_site_fract_x
_atom_site_fract_y
_atom_site_fract_z
Pm1 0.250 0.750 0.250
Cd1 0.027 0.250 0.172
Au1 0.015 0.250 0.474
```

The 10 most intense peaks (2θ = 10–90°), by angle:
index, 2θ (°), I/Imax
0 0 2, 18.41, 14
2 0 1, 29.09, 55
2 1 1, 32.27, 53
2 2 0, 39.34, 45
2 0 3, 39.51, 100
1 0 4, 39.92, 20
2 2 2, 43.77, 24
4 0 0, 56.86, 23
4 2 3, 71.45, 30
2 2 6, 71.77, 18

---

[4]
PmCd8Au6: simulated powder diffraction line list (a wavelength of 1.5418 Å), based on DFT lattice parameters and positions (PBE).
Peak positions follow from Bragg's law for the DFT cell and can differ from measured ones.

Structure:
```
data_PmCd8Au6
_space_group_name_H-M_alt 'R -3'
_space_group_IT_number 148
_space_group_name_Hall '-R 3'
_cell_length_a 8.2910
_cell_length_b 8.2910
_cell_length_c 17.2695
_cell_angle_alpha 90.00
_cell_angle_beta 90.00
_cell_angle_gamma 120.00
loop_
_atom_site_label
_atom_site_fract_x
_atom_site_fract_y
_atom_site_fract_z
Pm1 0.0000 0.0000 0.0000
Cd1 0.0000 0.0000 0.3354
Cd2 0.0013 0.6725 0.8814
Au1 0.0001 0.3444 0.9468
```

The 10 most intense peaks (2θ = 10–90°), by angle:
index, 2θ (°), I/Imax
0 0 3, 15.39, 18
1 1 0, 21.43, 24
1 1 3, 26.50, 21
3 0 0, 37.58, 93
1 1 6, 38.06, 100
3 0 3, 40.83, 10
4 -2 6, 54.56, 34
3 3 0, 67.82, 16
4 1 6, 68.14, 34
2 -1 12, 69.09, 14

---

[5]
PmCd2Au10: simulated powder diffraction line list (a wavelength of 1.5418 Å), based on DFT lattice parameters and positions (PBE).
Peak positions follow from Bragg's law for the DFT cell and can differ from measured ones.

Structure:
```
data_PmCd2Au10
_space_group_name_H-M_alt 'F m m m'
_space_group_IT_number 69
_space_group_name_Hall '-F 2 2'
_cell_length_a 5.693
_cell_length_b 13.164
_cell_length_c 13.985
_cell_angle_alpha 90.00
_cell_angle_beta 90.00
_cell_angle_gamma 90.00
loop_
_atom_site_label
_atom_site_fract_x
_atom_site_fract_y
_atom_site_fract_z
Pm1 0.000 0.000 0.000
Cd1 0.250 0.000 0.250
Au1 0.000 0.106 0.394
Au2 0.000 0.173 0.169
Au3 0.250 0.250 0.000
```

The 10 most intense peaks (2θ = 10–90°), by angle:
index, 2θ (°), I/Imax
2 0 0, 31.43, 41
1 3 3, 32.13, 81
1 1 5, 36.44, 86
2 2 2, 36.72, 100
0 4 4, 37.53, 99
1 5 1, 38.21, 83
2 0 4, 40.88, 79
0 2 6, 41.08, 37
2 4 0, 41.97, 67
2 6 6, 67.20, 54

---

[6]
PmCd3Au3: simulated powder diffraction line list (a wavelength of 1.5418 Å), based on DFT lattice parameters and positions (PBE).
Peak positions follow from Bragg's law for the DFT cell and can differ from measured ones.

Structure:
```
data_PmCd3Au3
_space_group_name_H-M_alt 'P 1 21/m 1'
_space_group_IT_number 11
_space_group_name_Hall '-P 2yb'
_cell_length_a 8.558
_cell_length_b 4.798
_cell_length_c 8.583
_cell_angle_alpha 90.00
_cell_angle_beta 119.89
_cell_angle_gamma 90.00
loop_
_atom_site_label
_atom_site_fract_x
_atom_site_fract_y
_atom_site_fract_z
Pm1 0.167 0.250 0.333
Cd1 0.270 0.250 0.991
Cd2 0.277 0.750 0.770
Cd3 0.493 0.750 0.223
Au1 0.037 0.250 0.612
Au2 0.112 0.750 0.075
Au3 0.424 0.750 0.536
```

The 10 most intense peaks (2θ = 10–90°), by angle:
index, 2θ (°), I/Imax
2 1 -2, 30.44, 14
2 0 1, 31.85, 24
2 1 1, 37.08, 100
3 1 -2, 37.16, 48
0 2 0, 37.49, 37
3 2 -2, 50.01, 20
5 0 -1, 56.87, 14
2 3 1, 67.39, 31
1 2 4, 69.97, 13
5 2 -1, 70.12, 16

---

[7]
PmCd4Au: simulated powder diffraction line list (a wavelength of 1.5418 Å), based on DFT lattice parameters and positions (PBE).
Peak positions follow from Bragg's law for the DFT cell and can differ from measured ones.

Structure:
```
data_PmCd4Au
_space_group_name_H-M_alt 'P m m a'
_space_group_IT_number 51
_space_group_name_Hall '-P 2a 2a'
_cell_length_a 8.497
_cell_length_b 4.344
_cell_length_c 7.693
_cell_angle_alpha 90.00
_cell_angle_beta 90.00
_cell_angle_gamma 90.00
loop_
_atom_site_label
_atom_site_fract_x
_atom_site_fract_y
_atom_site_fract_z
Pm1 0.250 0.000 0.115
Cd1 0.000 0.000 0.500
Cd2 0.046 0.500 0.817
Cd3 0.250 0.500 0.435
Au1 0.250 0.000 0.728
```

The 10 most intense peaks (2θ = 10–90°), by angle:
index, 2θ (°), I/Imax
2 1 0, 29.41, 37
2 1 1, 31.67, 95
1 1 2, 32.84, 66
1 0 3, 36.61, 41
2 1 2, 37.74, 100
3 1 1, 39.76, 33
0 2 0, 41.58, 50
4 0 0, 42.56, 32
1 2 3, 56.58, 24
4 2 0, 61.01, 22

---

[8]
PmCd2Au: simulated powder diffraction line list (a wavelength of 1.5418 Å), based on DFT lattice parameters and positions (PBE).
Peak positions follow from Bragg's law for the DFT cell and can differ from measured ones.

Structure:
```
data_PmCd2Au
_space_group_name_H-M_alt 'I -4 m 2'
_space_group_IT_number 119
_space_group_name_Hall 'I -4 -2'
_cell_length_a 5.044
_cell_length_b 5.044
_cell_length_c 7.221
_cell_angle_alpha 90.00
_cell_angle_beta 90.00
_cell_angle_gamma 90.00
loop_
_atom_site_label
_atom_site_fract_x
_atom_site_fract_y
_atom_site_fract_z
Pm1 0.000 0.000 0.000
Cd1 0.000 0.000 0.500
Cd2 0.000 0.500 0.750
Au1 0.000 0.500 0.250
```

The 10 most intense peaks (2θ = 10–90°), by angle:
index, 2θ (°), I/Imax
1 1 2, 35.38, 100
2 0 0, 35.60, 49
0 0 4, 50.56, 9
2 2 0, 51.23, 17
2 0 4, 63.36, 18
3 1 2, 63.80, 35
2 2 4, 74.84, 11
1 1 6, 85.08, 8
3 3 2, 86.11, 8
4 2 0, 86.24, 8

---

[9]
PmCd2Au6: simulated powder diffraction line list (a wavelength of 1.5418 Å), based on DFT lattice parameters and positions (PBE).
Peak positions follow from Bragg's law for the DFT cell and can differ from measured ones.

Structure:
```
data_PmCd2Au6
_space_group_name_H-M_alt 'C 1 2/c 1'
_space_group_IT_number 15
_space_group_name_Hall '-C 2yc'
_cell_length_a 9.189
_cell_length_b 15.216
_cell_length_c 5.202
_cell_angle_alpha 90.00
_cell_angle_beta 90.24
_cell_angle_gamma 90.00
loop_
_atom_site_label
_atom_site_fract_x
_atom_site_fract_y
_atom_site_fract_z
Pm1 0.000 0.249 0.250
Cd1 0.249 0.411 0.501
Au1 0.086 0.421 0.989
Au2 0.088 0.078 0.987
Au3 0.166 0.250 0.753
```

The 10 most intense peaks (2θ = 10–90°), by angle:
index, 2θ (°), I/Imax
3 1 1, 34.55, 60
0 6 0, 35.39, 62
0 2 2, 36.51, 55
3 3 -1, 38.39, 100
0 4 2, 42.09, 31
3 5 1, 45.54, 32
3 7 1, 54.74, 14
0 8 2, 60.28, 15
3 3 3, 64.54, 22
3 9 -1, 65.54, 22

---

[10]
PmCdAu: simulated powder diffraction line list (a wavelength of 1.5418 Å), based on DFT lattice parameters and positions (PBE).
Peak positions follow from Bragg's law for the DFT cell and can differ from measured ones.

Structure:
```
data_PmCdAu
_space_group_name_H-M_alt 'P 1 21/m 1'
_space_group_IT_number 11
_space_group_name_Hall '-P 2yb'
_cell_length_a 3.643
_cell_length_b 4.644
_cell_length_c 8.902
_cell_angle_alpha 90.00
_cell_angle_beta 98.90
_cell_angle_gamma 90.00
loop_
_atom_site_label
_atom_site_fract_x
_atom_site_fract_y
_atom_site_fract_z
Pm1 0.075 0.250 0.199
Cd1 0.325 0.250 0.577
Au1 0.461 0.250 0.903
```

The 10 most intense peaks (2θ = 10–90°), by angle:
index, 2θ (°), I/Imax
0 0 1, 10.06, 69
1 1 0, 31.45, 45
1 1 -1, 31.86, 77
1 1 1, 34.30, 39
1 0 2, 34.56, 29
0 1 3, 36.24, 100
0 2 0, 38.78, 58
1 1 2, 39.79, 29
2 0 -1, 50.14, 34
2 1 -4, 64.86, 30

---

[11]
Pm5CdAu3: simulated powder diffraction line list (a wavelength of 1.5418 Å), based on DFT lattice parameters and positions (PBE).
Peak positions follow from Bragg's law for the DFT cell and can differ from measured ones.

Structure:
```
data_Pm5CdAu3
_space_group_name_H-M_alt 'P 63/m c m'
_space_group_IT_number 193
_space_group_name_Hall '-P 6c 2'
_cell_length_a 8.9906
_cell_length_b 8.9906
_cell_length_c 7.0071
_cell_angle_alpha 90.00
_cell_angle_beta 90.00
_cell_angle_gamma 120.00
loop_
_atom_site_label
_atom_site_fract_x
_atom_site_fract_y
_atom_site_fract_z
Pm1 0.0000 0.2952 0.2500
Pm2 0.3333 0.6667 0.0000
Cd1 0.0000 0.0000 0.0000
Au1 0.0000 0.3753 0.7500
```

The 10 most intense peaks (2θ = 10–90°), by angle:
index, 2θ (°), I/Imax
0 0 2, 25.42, 15
1 1 2, 32.40, 100
2 1 1, 33.01, 30
3 0 0, 34.56, 83
3 1 1, 43.87, 15
2 2 2, 48.10, 26
0 0 4, 52.22, 11
4 1 2, 60.57, 22
3 0 4, 64.14, 28
4 2 1, 64.74, 12

---

[12]
Pr2Cd5Au3: simulated powder diffraction line list (a wavelength of 1.5418 Å), based on DFT lattice parameters and positions (PBE).
Peak positions follow from Bragg's law for the DFT cell and can differ from measured ones.

Structure:
```
data_Pr2Cd5Au3
_space_group_name_H-M_alt 'I b a m'
_space_group_IT_number 72
_space_group_name_Hall '-I 2 2c'
_cell_length_a 12.097
_cell_length_b 13.115
_cell_length_c 6.097
_cell_angle_alpha 90.00
_cell_angle_beta 90.00
_cell_angle_gamma 90.00
loop_
_atom_site_label
_atom_site_fract_x
_atom_site_fract_y
_atom_site_fract_z
Pr1 0.128 0.239 0.000
Cd1 0.000 0.000 0.250
Cd2 0.115 0.358 0.500
Cd3 0.250 0.000 0.250
Au1 0.000 0.500 0.250
Au2 0.126 0.150 0.500
```

The 10 most intense peaks (2θ = 10–90°), by angle:
index, 2θ (°), I/Imax
2 1 1, 21.78, 24
2 3 1, 29.15, 65
0 2 2, 32.39, 97
4 2 0, 32.61, 95
2 5 1, 40.29, 85
0 4 2, 40.40, 35
4 4 0, 40.58, 34
4 0 2, 42.09, 100
2 5 3, 59.54, 27
6 5 1, 59.81, 25

---

Repeat the seventh record exactly.
PmCd4Au: simulated powder diffraction line list (a wavelength of 1.5418 Å), based on DFT lattice parameters and positions (PBE).
Peak positions follow from Bragg's law for the DFT cell and can differ from measured ones.

Structure:
```
data_PmCd4Au
_space_group_name_H-M_alt 'P m m a'
_space_group_IT_number 51
_space_group_name_Hall '-P 2a 2a'
_cell_length_a 8.497
_cell_length_b 4.344
_cell_length_c 7.693
_cell_angle_alpha 90.00
_cell_angle_beta 90.00
_cell_angle_gamma 90.00
loop_
_atom_site_label
_atom_site_fract_x
_atom_site_fract_y
_atom_site_fract_z
Pm1 0.250 0.000 0.115
Cd1 0.000 0.000 0.500
Cd2 0.046 0.500 0.817
Cd3 0.250 0.500 0.435
Au1 0.250 0.000 0.728
```

The 10 most intense peaks (2θ = 10–90°), by angle:
index, 2θ (°), I/Imax
2 1 0, 29.41, 37
2 1 1, 31.67, 95
1 1 2, 32.84, 66
1 0 3, 36.61, 41
2 1 2, 37.74, 100
3 1 1, 39.76, 33
0 2 0, 41.58, 50
4 0 0, 42.56, 32
1 2 3, 56.58, 24
4 2 0, 61.01, 22